For Ba3NaRu2O9, DFT lattice parameters and positions (GGA-PBE) gives the simulated powder diffractogram in this record (Cu Kα (λ = 1.5418 Å)).

Atomic structure:
Lattice parameters (Å, degrees): 5.9496 5.9496 14.7232 90.00 90.00 120.00
Sites, in units of the cell vectors:
1 Ba 0.0000 0.0000 0.2500
2 Ba 0.0000 0.0000 0.7500
3 Ba 0.3333 0.6667 0.0922
4 Ba 0.3333 0.6667 0.4078
5 Ba 0.6667 0.3333 0.5923
6 Ba 0.6667 0.3333 0.9078
7 Na 0.0000 0.0000 0.0000
8 Na 0.0000 0.0000 0.5000
9 Ru 0.3333 0.6667 0.6551
10 Ru 0.3333 0.6667 0.8449
11 Ru 0.6667 0.3333 0.1551
12 Ru 0.6667 0.3333 0.3449
13 O 0.0343 0.5172 0.7500
14 O 0.1772 0.3544 0.5901
15 O 0.1772 0.3544 0.9099
16 O 0.1772 0.8228 0.5901
17 O 0.1772 0.8228 0.9099
18 O 0.3544 0.1772 0.0901
19 O 0.3544 0.1772 0.4099
20 O 0.4828 0.5172 0.7500
21 O 0.4828 0.9657 0.7500
22 O 0.5172 0.0343 0.2500
23 O 0.5172 0.4828 0.2500
24 O 0.6456 0.8228 0.5901
25 O 0.6456 0.8228 0.9099
26 O 0.8228 0.1772 0.0901
27 O 0.8228 0.1772 0.4099
28 O 0.8228 0.6456 0.0901
29 O 0.8228 0.6456 0.4099
30 O 0.9657 0.4828 0.2500

The 12 most intense peaks (5 to 70 degrees two-theta), by intensity:
- 30.04°, I = 100.0
- 29.83°, I = 54.0
- 42.85°, I = 34.9
- 25.06°, I = 23.6
- 39.51°, I = 20.3
- 53.21°, I = 19.7
- 53.34°, I = 19.7
- 62.44°, I = 19.5
- 35.10°, I = 18.1
- 21.05°, I = 13.8
- 36.97°, I = 12.2
- 46.86°, I = 11.2

---

For Ba3NaRuO6, DFT lattice parameters and positions (GGA-PBE) gives the simulated powder diffractogram in this record (Cu Kα (λ = 1.5418 Å)).

Atomic structure:
Lattice parameters (Å, degrees): 7.1585 7.1585 7.1585 91.51 91.51 91.51
Sites, in units of the cell vectors:
1 Ba 0.1069 0.7500 0.3931
2 Ba 0.2500 0.6069 0.8931
3 Ba 0.3931 0.1069 0.7500
4 Ba 0.6069 0.8931 0.2500
5 Ba 0.7500 0.3931 0.1069
6 Ba 0.8931 0.2500 0.6069
7 Na 0.2500 0.2500 0.2500
8 Na 0.7500 0.7500 0.7500
9 Ru 0.0000 0.0000 0.0000
10 Ru 0.5000 0.5000 0.5000
11 O 0.0515 0.9194 0.7345
12 O 0.0806 0.2655 0.9485
13 O 0.2345 0.4194 0.5515
14 O 0.2655 0.9485 0.0806
15 O 0.4194 0.5515 0.2345
16 O 0.4485 0.7655 0.5806
17 O 0.5515 0.2345 0.4194
18 O 0.5806 0.4485 0.7655
19 O 0.7345 0.0515 0.9194
20 O 0.7655 0.5806 0.4485
21 O 0.9194 0.7345 0.0515
22 O 0.9485 0.0806 0.2655

The 12 most intense peaks (5 to 70 degrees two-theta), by intensity:
- 28.20°, I = 100.0
- 30.19°, I = 93.9
- 41.78°, I = 54.2
- 17.77°, I = 29.5
- 52.40°, I = 25.2
- 53.61°, I = 15.5
- 48.63°, I = 15.0
- 55.22°, I = 14.6
- 58.32°, I = 13.9
- 62.77°, I = 12.8
- 54.33°, I = 12.0
- 39.51°, I = 11.4